No. 1
Structure and calculated powder diffractogram of B5C3 (DFT lattice parameters and positions (PBE); a wavelength of 1.5418 Å).
Kinematic intensities with the Lorentz-polarization factor, no thermal factor.

Atomic structure:
Cell: 2.7040 2.7040 36.9775 Å, 90.00 90.00 120.00°
Space group R3m (No. 160, hexagonal axes)
Unique sites:
B1 0.0000 0.0000 0.0000 [3 per cell]
B2 0.0000 0.0000 0.1091 [3 per cell]
B3 0.0000 0.0000 0.2278 [3 per cell]
B4 0.0000 0.0000 0.5154 [3 per cell]
B5 0.0000 0.0000 0.8214 [3 per cell]
C1 0.0000 0.0000 0.3333 [3 per cell]
C2 0.0000 0.0000 0.5577 [3 per cell]
C3 0.0000 0.0000 0.7791 [3 per cell]

Largest 8 diffraction maxima, low angle first, 5° ≤ 2θ ≤ 70°:
7.17 deg, intensity 100, (0 0 3); 14.37 deg, intensity 13, (0 0 6); 21.63 deg, intensity 57, (0 0 9); 39.71 deg, intensity 18, (1 0 4); 40.40 deg, intensity 6, (0 1 5); 42.21 deg, intensity 4, (1 0 7); 44.08 deg, intensity 7, (0 0 18); 69.53 deg, intensity 7, (1 1 0)

No. 2
Structure and calculated powder diffractogram of SiBiPb2Au6 (DFT lattice parameters and positions (PBE); a wavelength of 1.5418 Å).
Kinematic intensities with the Lorentz-polarization factor, no thermal factor.

Atomic structure:
Cell: 5.823 8.918 9.371 Å, 90.00 90.00 90.00°
Space group Pmmn (No. 59, origin choice 2)
Unique sites:
Si1 0.250 0.250 0.229 [2 per cell]
Bi1 0.250 0.750 0.299 [2 per cell]
Pb1 0.250 0.002 0.740 [4 per cell]
Au1 0.003 0.250 0.438 [4 per cell]
Au2 0.012 0.750 0.986 [4 per cell]
Au3 0.250 0.501 0.107 [4 per cell]

Largest 8 diffraction maxima, low angle first, 5° ≤ 2θ ≤ 70°:
9.44 deg, intensity 39, (0 0 1); 27.62 deg, intensity 72, (0 2 2); 31.68 deg, intensity 51, (1 2 2); 36.33 deg, intensity 79, (2 0 2); 36.87 deg, intensity 100, (2 2 0); 38.43 deg, intensity 86, (1 2 3); 40.46 deg, intensity 71, (0 4 0); 55.49 deg, intensity 56, (2 4 2)

No. 3
Structure and calculated powder diffractogram of PuUPaGa (DFT lattice parameters and positions (PBE); a wavelength of 1.5418 Å).
Kinematic intensities with the Lorentz-polarization factor, no thermal factor.

Atomic structure:
Cell: 6.929 6.929 6.929 Å, 90.00 90.00 90.00°
Space group F-43m (No. 216)
Unique sites:
Pu1 0.000 0.000 0.000 [4 per cell]
U1 0.250 0.250 0.750 [4 per cell]
Pa1 0.000 0.000 0.500 [4 per cell]
Ga1 0.250 0.250 0.250 [4 per cell]

Largest 8 diffraction maxima, low angle first, 5° ≤ 2θ ≤ 70°:
22.22 deg, intensity 9, (1 1 1); 25.72 deg, intensity 5, (2 0 0); 36.69 deg, intensity 100, (2 2 0); 43.31 deg, intensity 5, (3 1 1); 52.86 deg, intensity 18, (4 0 0); 58.02 deg, intensity 2, (3 3 1); 59.68 deg, intensity 2, (4 2 0); 66.06 deg, intensity 37, (4 2 2)

No. 4
Structure and calculated powder diffractogram of CsSrNp2O7 (DFT lattice parameters and positions (PBE); a wavelength of 1.5418 Å).
Kinematic intensities with the Lorentz-polarization factor, no thermal factor.

Atomic structure:
Cell: 4.284 4.284 11.171 Å, 90.00 90.00 90.00°
Space group P4/mmm (No. 123)
Unique sites:
Cs1 0.000 0.000 0.000 [1 per cell]
Sr1 0.000 0.000 0.500 [1 per cell]
Np1 0.500 0.500 0.309 [2 per cell]
O1 0.000 0.500 0.337 [4 per cell]
O2 0.500 0.500 0.139 [2 per cell]
O3 0.500 0.500 0.500 [1 per cell]

Largest 8 diffraction maxima, low angle first, 5° ≤ 2θ ≤ 70°:
7.91 deg, intensity 30, (0 0 1); 20.73 deg, intensity 25, (1 0 0); 23.90 deg, intensity 24, (0 0 3); 26.22 deg, intensity 100, (1 0 2); 29.49 deg, intensity 55, (1 1 0); 31.84 deg, intensity 22, (1 0 3); 42.19 deg, intensity 30, (2 0 0); 50.35 deg, intensity 34, (2 1 2)

No. 5
Structure and calculated powder diffractogram of Pm3Zn2Sn2 (DFT lattice parameters and positions (PBE); a wavelength of 1.5418 Å).
Kinematic intensities with the Lorentz-polarization factor, no thermal factor.

Atomic structure:
Cell: 4.414 4.429 19.086 Å, 90.00 90.00 90.00°
Space group Immm (No. 71)
Unique sites:
Pm1 0.000 0.000 0.000 [2 per cell]
Pm2 0.000 0.500 0.317 [4 per cell]
Zn1 0.000 0.000 0.437 [4 per cell]
Sn1 0.000 0.500 0.145 [4 per cell]

Largest 8 diffraction maxima, low angle first, 5° ≤ 2θ ≤ 70°:
28.05 deg, intensity 23, (0 0 6); 30.08 deg, intensity 100, (1 1 2); 30.93 deg, intensity 47, (0 1 5); 34.29 deg, intensity 43, (1 1 4); 38.82 deg, intensity 34, (1 0 7); 40.45 deg, intensity 22, (1 1 6); 40.74 deg, intensity 30, (0 2 0); 40.89 deg, intensity 29, (2 0 0)

No. 6
Structure and calculated powder diffractogram of Ac4Pd6O19 (DFT lattice parameters and positions (PBE); a wavelength of 1.5418 Å).
Kinematic intensities with the Lorentz-polarization factor, no thermal factor.

Atomic structure:
Cell: 9.221 9.221 9.221 Å, 90.00 90.00 90.00°
Space group I23 (No. 197)
Unique sites:
Ac1 0.163 0.163 0.163 [8 per cell]
Pd1 0.000 0.159 0.500 [12 per cell]
O1 0.000 0.000 0.000 [2 per cell]
O2 0.000 0.000 0.346 [12 per cell]
O3 0.036 0.286 0.673 [24 per cell]

Largest 8 diffraction maxima, low angle first, 5° ≤ 2θ ≤ 70°:
23.63 deg, intensity 100, (2 1 1); 30.66 deg, intensity 78, (3 0 1); 36.46 deg, intensity 37, (3 1 2); 41.55 deg, intensity 56, (3 3 0); 48.36 deg, intensity 24, (4 2 2); 50.47 deg, intensity 25, (4 3 1); 54.51 deg, intensity 23, (5 1 2); 60.22 deg, intensity 32, (6 0 0)